Theoretical powder diffractogram of Mg3BO3F3 for Cu Kα (weighted mean of Kα1 and Kα2), from a cell relaxed with GGA-PBE.

Most intense lines, 10 to 80 degrees two-theta, by intensity:
| Position (°2θ) | I_rel | h k l |
| --- | --- | --- |
| 36.92 | 100 | 2 0 1 |
| 42.30 | 74 | 1 3 0 |
| 19.95 | 70 | 1 1 0 |
| 34.94 | 65 | 3 0 0 |
| 62.66 | 57 | 4 1 1 |
| 11.48 | 50 | 1 0 0 |
| 50.25 | 45 | 2 2 1 |
| 51.72 | 30 | 3 1 1 |
| 30.71 | 28 | 1 2 0 |
| 58.80 | 27 | 0 0 2 |

a = 8.8995 Å, b = 8.8995 Å, c = 3.1410 Å
α = 90.00°, β = 90.00°, γ = 120.00°
Space group P6_3/m (No. 176)
Symmetry-distinct sites (fractional):
1 Mg 0.0299 0.6631 0.2500
2 B 0.3333 0.6667 0.7500
3 O 0.1548 0.6040 0.7500
4 F 0.0892 0.2993 0.2500